Starting from a DFT-relaxed cell (PBE, Alexandria), the XRD peak list of Ce2Pd8Pt was calculated for Cu Ka.
Intensities are scaled so that the largest is 1000.

Structure:
```
Ce2Pd8Pt
1.0
4.2186 0.0000 0.0000
0.0000 4.2186 0.0000
0.0000 0.0000 11.2793
Ce Pd Pt
2 8 1
Cartesian
0.0000 0.0000 2.0922
0.0000 0.0000 9.1871
0.0000 2.1093 0.0000
0.0000 2.1093 3.9842
0.0000 2.1093 7.2950
2.1093 0.0000 0.0000
2.1093 0.0000 3.9842
2.1093 0.0000 7.2950
2.1093 2.1093 1.9951
2.1093 2.1093 9.2842
0.0000 0.0000 5.6396
```

The 10 most intense peaks (10° ≤ 2θ ≤ 90°), in order of rising 2θ:
| 2theta | intensity | h k l |
| --- | --- | --- |
| 21.1 | 89 | 1 0 0 |
| 22.5 | 76 | 1 0 1 |
| 31.9 | 58 | 1 0 3 |
| 38.5 | 1000 | 1 1 3 |
| 42.9 | 399 | 2 0 0 |
| 48.4 | 101 | 0 0 6 |
| 62.2 | 130 | 2 2 0 |
| 66.6 | 153 | 2 0 6 |
| 75.6 | 275 | 3 1 3 |
| 82.6 | 85 | 2 2 6 |